Record 1
Calculated XRD peak list of CsMnAs for a wavelength of 1.5418 Å, from DFT lattice parameters and positions (GGA-PBE).
Neutral-atom scattering factors, no anomalous dispersion.

a = 4.297 Å, b = 4.297 Å, c = 11.936 Å
α = 90.00°, β = 90.00°, γ = 90.00°
Space group P4/nmm (No. 129, origin choice 2)
Symmetry-distinct sites (fractional):
Cs (0.250, 0.250, 0.219) (multiplicity 2)
Mn (0.250, 0.750, 0.500) (multiplicity 2)
As (0.250, 0.250, 0.605) (multiplicity 2)

The 10 most intense peaks (2θ = 5–70°), sorted by position:
- 7.41°, intensity 100
- 21.98°, intensity 25
- 25.54°, intensity 43
- 29.39°, intensity 22
- 30.62°, intensity 55
- 33.08°, intensity 35
- 42.05°, intensity 25
- 48.49°, intensity 27
- 49.85°, intensity 13
- 52.91°, intensity 23


Record 2
Calculated XRD peak list of CsMnAs for a wavelength of 1.5418 Å, from DFT lattice parameters and positions (GGA-PBE).
Neutral-atom scattering factors, no anomalous dispersion.

a = 4.500 Å, b = 4.500 Å, c = 9.031 Å
α = 90.00°, β = 90.00°, γ = 90.00°
Space group P4/nmm (No. 129, origin choice 2)
Symmetry-distinct sites (fractional):
Cs (0.250, 0.250, 0.160) (multiplicity 2)
Mn (0.250, 0.750, 0.500) (multiplicity 2)
As (0.250, 0.250, 0.648) (multiplicity 2)

The 10 most intense peaks (2θ = 5–70°), sorted by position:
- 22.07°, intensity 8
- 28.01°, intensity 100
- 29.74°, intensity 17
- 34.48°, intensity 21
- 40.08°, intensity 27
- 44.92°, intensity 11
- 49.56°, intensity 48
- 57.97°, intensity 9
- 61.75°, intensity 9
- 65.60°, intensity 11


Record 3
Calculated XRD peak list of CsAsO4 for a wavelength of 1.5418 Å, from DFT lattice parameters and positions (GGA-PBE).
Neutral-atom scattering factors, no anomalous dispersion.

a = 7.835 Å, b = 7.835 Å, c = 8.020 Å
α = 90.00°, β = 90.00°, γ = 90.00°
Space group I-42d (No. 122)
Symmetry-distinct sites (fractional):
Cs (0.000, 0.000, 0.000) (multiplicity 4)
As (0.000, 0.000, 0.500) (multiplicity 4)
O (0.105, 0.140, 0.365) (multiplicity 16)

The 10 most intense peaks (2θ = 5–70°), sorted by position:
- 22.70°, intensity 84
- 27.46°, intensity 100
- 32.32°, intensity 32
- 42.91°, intensity 63
- 51.18°, intensity 17
- 52.22°, intensity 16
- 54.72°, intensity 14
- 56.67°, intensity 13
- 65.00°, intensity 18
- 66.77°, intensity 12


Record 4
Calculated XRD peak list of CsAsO3 for a wavelength of 1.5418 Å, from DFT lattice parameters and positions (GGA-PBE).
Neutral-atom scattering factors, no anomalous dispersion.

a = 4.076 Å, b = 4.076 Å, c = 4.076 Å
α = 90.00°, β = 90.00°, γ = 90.00°
Space group Pm-3m (No. 221)
Symmetry-distinct sites (fractional):
Cs (0.000, 0.000, 0.000) (multiplicity 1)
As (0.500, 0.500, 0.500) (multiplicity 1)
O (0.000, 0.500, 0.500) (multiplicity 3)

The 8 most intense peaks (2θ = 5–70°), sorted by position:
- 21.81°, intensity 4
- 31.03°, intensity 100
- 38.25°, intensity 11
- 44.46°, intensity 32
- 50.04°, intensity 2
- 55.20°, intensity 40
- 64.69°, intensity 20
- 69.15°, intensity 1


Record 5
Calculated XRD peak list of CsAsO3 for a wavelength of 1.5418 Å, from DFT lattice parameters and positions (GGA-PBE).
Neutral-atom scattering factors, no anomalous dispersion.

a = 5.937 Å, b = 12.595 Å, c = 5.461 Å
α = 90.00°, β = 90.00°, γ = 90.00°
Space group Pbcm (No. 57)
Symmetry-distinct sites (fractional):
Cs (0.085, 0.102, 0.250) (multiplicity 4)
As (0.440, 0.668, 0.750) (multiplicity 4)
O (0.158, 0.661, 0.750) (multiplicity 4)
O (0.394, 0.062, 0.750) (multiplicity 4)
O (0.453, 0.250, 0.000) (multiplicity 4)

The 10 most intense peaks (2θ = 5–70°), sorted by position:
- 20.56°, intensity 17
- 23.23°, intensity 20
- 26.31°, intensity 100
- 28.34°, intensity 13
- 30.80°, intensity 11
- 32.81°, intensity 43
- 35.14°, intensity 12
- 43.89°, intensity 12
- 50.36°, intensity 15
- 54.72°, intensity 13


Record 6
Calculated XRD peak list of Cs3AsO4 for a wavelength of 1.5418 Å, from DFT lattice parameters and positions (GGA-PBE).
Neutral-atom scattering factors, no anomalous dispersion.

a = 12.740 Å, b = 9.199 Å, c = 6.741 Å
α = 90.00°, β = 90.00°, γ = 90.00°
Space group Pnma (No. 62)
Symmetry-distinct sites (fractional):
Cs (0.076, 0.250, 0.144) (multiplicity 4)
Cs (0.145, 0.007, 0.690) (multiplicity 8)
As (0.114, 0.750, 0.274) (multiplicity 4)
O (0.009, 0.750, 0.440) (multiplicity 4)
O (0.108, 0.595, 0.128) (multiplicity 8)
O (0.230, 0.750, 0.411) (multiplicity 4)

The 10 most intense peaks (2θ = 5–70°), sorted by position:
- 23.86°, intensity 9
- 26.44°, intensity 12
- 27.34°, intensity 100
- 28.02°, intensity 17
- 29.07°, intensity 9
- 31.06°, intensity 12
- 38.90°, intensity 8
- 39.17°, intensity 13
- 47.16°, intensity 9
- 63.97°, intensity 9


Record 7
Calculated XRD peak list of CsAsO3 for a wavelength of 1.5418 Å, from DFT lattice parameters and positions (GGA-PBE).
Neutral-atom scattering factors, no anomalous dispersion.

a = 5.0414 Å, b = 5.0414 Å, c = 9.9941 Å
α = 90.00°, β = 90.00°, γ = 120.00°
Space group P-31m (No. 162)
Symmetry-distinct sites (fractional):
Cs (0.0000, 0.0000, 0.2068) (multiplicity 2)
As (0.3333, 0.6667, 0.5000) (multiplicity 2)
O (0.0000, 0.3982, 0.6082) (multiplicity 6)

The 10 most intense peaks (2θ = 5–70°), sorted by position:
- 8.85°, intensity 71
- 20.34°, intensity 28
- 22.22°, intensity 48
- 27.12°, intensity 100
- 35.62°, intensity 36
- 45.10°, intensity 36
- 45.34°, intensity 23
- 50.20°, intensity 19
- 51.50°, intensity 17
- 58.94°, intensity 22